No. 1
Starting from a crystal structure in Alexandria, relaxed with GGA-PBE, the PXRD pattern of ThAl12Cu6 was computed for copper Kα.

Largest 12 diffraction maxima, by angle, 15 to 90 degrees two-theta:
2θ 21.02, I = 29.6
2θ 22.78, I = 50.3
2θ 26.39, I = 100.0
2θ 31.85, I = 76.7
2θ 32.15, I = 66.6
2θ 34.87, I = 62.8
2θ 35.40, I = 58.1
2θ 39.52, I = 48.2
2θ 45.89, I = 42.5
2θ 46.53, I = 57.2
2θ 47.94, I = 20.6
2θ 51.63, I = 35.0

Crystal structure
Cell lengths 11.2372, 11.2372, 8.5234 Å; angles 90.00, 90.00, 120.00 degrees
Space group R-3m (No. 166, hexagonal axes)
Unique sites:
Th 0.0000 0.0000 0.0000 [3 per cell]
Al 0.0000 0.3843 0.5000 [18 per cell]
Al 0.0849 0.1698 0.3296 [18 per cell]
Cu 0.0342 0.5171 0.2504 [18 per cell]

***

No. 2
Starting from a crystal structure in Alexandria, relaxed with GGA-PBE, the PXRD pattern of CsSi2Ge6 was computed for copper Kα.

Largest 12 diffraction maxima, by angle, 15 to 90 degrees two-theta:
2θ 20.21, I = 100.0
2θ 21.75, I = 28.8
2θ 23.99, I = 54.5
2θ 24.34, I = 58.2
2θ 29.85, I = 83.3
2θ 30.93, I = 27.9
2θ 32.59, I = 63.3
2θ 33.20, I = 58.6
2θ 33.74, I = 25.0
2θ 43.52, I = 75.7
2θ 46.00, I = 32.2
2θ 50.96, I = 24.4

Crystal structure
Cell lengths 16.3337, 16.3760, 8.3256 Å; angles 90.00, 90.00, 90.00 degrees
Space group Fdd2 (No. 43)
Unique sites:
Cs 0.0000 0.0000 0.0000 [8 per cell]
Si 0.0621 0.2616 0.9104 [16 per cell]
Ge 0.0077 0.1914 0.6631 [16 per cell]
Ge 0.0560 0.4462 0.1033 [16 per cell]
Ge 0.0972 0.4020 0.8253 [16 per cell]